This entry pairs a crystal structure of LiVP2O7 with its computed powder XRD pattern. Radiation: Cu Kα (λ = 1.5418 Å). Structure: a cell relaxed with PBE+U.

The 6 most intense peaks (10° ≤ 2θ ≤ 90°), most intense first:
2theta	Rel. int.	hkl
23.11	100	0 0 2
22.86	97	1 -1 0
14.43	71	0 1 1
22.24	65	1 1 0
31.07	38	1 2 1
32.35	38	0 1 3

Structural model:
```
LiVP2O7
1.0
5.051 0.000 0.000
0.280 6.814 0.000
0.343 3.108 7.699
Li V P O
2 2 4 14
Cartesian
0.000 0.000 0.000
2.731 3.752 3.326
2.744 7.413 2.087
5.180 4.947 5.587
2.619 7.007 5.298
2.734 2.966 6.373
4.927 2.481 1.315
5.306 5.212 2.343
0.203 4.056 1.213
0.856 1.835 2.297
1.145 6.603 5.196
1.744 5.538 2.526
1.848 3.658 5.315
2.005 0.207 0.117
2.684 8.210 6.372
3.189 7.576 3.992
3.484 5.912 5.910
3.462 2.387 1.798
4.235 3.152 6.091
4.518 6.355 1.691
4.634 4.635 3.601
5.469 5.073 7.597
```